Starting from a DFT-relaxed cell (PBE, Alexandria), the powder diffraction line list of Cs2TiP4O13 was calculated for Cu Kα X-rays.

Most intense lines, 2θ = 10–80°, sorted by position:
- d 4.301, I = 38.1
- d 4.022, I = 39.8
- d 3.982, I = 42.3
- d 3.827, I = 63.3
- d 3.550, I = 100.0
- d 3.486, I = 84.5
- d 3.330, I = 70.4
- d 3.307, I = 52.6
- d 2.893, I = 36.1
- d 2.855, I = 25.9
- d 2.575, I = 29.4
- d 2.519, I = 25.6

Cell and atoms:
a b c (Å): 5.243 8.189 16.071
angles (deg): 84.66 83.62 80.11
Fractional positions:
1 Cs 0.188 0.238 0.490
2 Cs 0.227 0.198 0.973
3 Cs 0.773 0.802 0.027
4 Cs 0.812 0.762 0.510
5 Ti 0.044 0.442 0.241
6 Ti 0.956 0.558 0.759
7 P 0.167 0.904 0.696
8 P 0.178 0.821 0.212
9 P 0.379 0.720 0.850
10 P 0.463 0.599 0.337
11 P 0.537 0.401 0.663
12 P 0.621 0.280 0.150
13 P 0.822 0.179 0.788
14 P 0.833 0.096 0.304
15 O 0.016 0.088 0.715
16 O 0.034 0.215 0.291
17 O 0.050 0.673 0.195
18 O 0.207 0.590 0.834
19 O 0.242 0.933 0.138
20 O 0.246 0.474 0.675
21 O 0.296 0.471 0.316
22 O 0.299 0.802 0.930
23 O 0.310 0.918 0.612
24 O 0.332 0.361 0.158
25 O 0.354 0.859 0.770
26 O 0.375 0.669 0.420
27 O 0.429 0.747 0.260
28 O 0.571 0.253 0.740
29 O 0.625 0.331 0.580
30 O 0.646 0.141 0.230
31 O 0.668 0.639 0.842
32 O 0.690 0.082 0.388
33 O 0.701 0.198 0.070
34 O 0.704 0.529 0.684
35 O 0.754 0.526 0.325
36 O 0.758 0.067 0.862
37 O 0.793 0.410 0.166
38 O 0.950 0.327 0.805
39 O 0.966 0.785 0.709
40 O 0.984 0.912 0.285



Starting from a DFT-relaxed cell (PBE, Alexandria), the powder diffraction line list of CsCdIn2I5 was calculated for Cu Kα X-rays.

Most intense lines, 2θ = 10–80°, sorted by position:
- d 3.410, I = 100.0
- d 3.376, I = 21.4
- d 3.173, I = 33.0
- d 3.020, I = 38.5
- d 2.659, I = 14.9
- d 2.144, I = 17.6
- d 2.135, I = 16.1
- d 2.124, I = 10.8
- d 2.081, I = 12.1
- d 2.066, I = 14.0
- d 1.692, I = 17.3
- d 1.592, I = 10.9

Cell and atoms:
a b c (Å): 10.852 10.852 10.852
angles (deg): 127.79 127.79 76.96
Fractional positions:
1 Cs 0.250 0.250 0.000
2 Cs 0.750 0.750 0.000
3 Cd 0.250 0.750 0.500
4 Cd 0.750 0.250 0.500
5 In 0.157 0.657 0.814
6 In 0.343 0.157 0.500
7 In 0.657 0.843 0.500
8 In 0.843 0.343 0.186
9 I 0.000 0.000 0.000
10 I 0.017 0.200 0.500
11 I 0.200 0.700 0.183
12 I 0.300 0.483 0.500
13 I 0.483 0.983 0.183
14 I 0.500 0.500 0.000
15 I 0.517 0.017 0.817
16 I 0.700 0.517 0.500
17 I 0.800 0.300 0.817
18 I 0.983 0.800 0.500



Starting from a DFT-relaxed cell (PBE, Alexandria), the powder diffraction line list of Li3GaAu2 was calculated for Cu Kα X-rays.

Most intense lines, 2θ = 10–80°, sorted by position:
- d 3.714, I = 100.0
- d 2.903, I = 53.3
- d 2.868, I = 51.7
- d 2.287, I = 63.3
- d 2.270, I = 61.9
- d 2.047, I = 22.1
- d 2.033, I = 22.6
- d 1.857, I = 17.1
- d 1.793, I = 25.7
- d 1.783, I = 26.5
- d 1.564, I = 17.1
- d 1.559, I = 16.9

Cell and atoms:
a b c (Å): 4.066 3.714 6.447
angles (deg): 90.00 107.70 90.00
Fractional positions:
1 Li 0.000 0.000 0.000
2 Li 0.328 0.000 0.656
3 Li 0.672 0.000 0.344
4 Ga 0.500 0.500 0.000
5 Au 0.161 0.500 0.321
6 Au 0.839 0.500 0.679



Starting from a DFT-relaxed cell (PBE, Alexandria), the powder diffraction line list of Tb2Pr4Tm3 was calculated for Cu Kα X-rays.

Most intense lines, 2θ = 10–80°, sorted by position:
- d 3.004, I = 16.9
- d 2.992, I = 20.1
- d 2.904, I = 100.0
- d 2.895, I = 48.3
- d 2.729, I = 41.6
- d 2.699, I = 21.7
- d 2.679, I = 18.6
- d 1.945, I = 10.9
- d 1.893, I = 9.6
- d 1.780, I = 12.5
- d 1.711, I = 9.8
- d 1.521, I = 14.1

Cell and atoms:
a b c (Å): 7.120 8.539 10.433
angles (deg): 99.07 100.25 101.79
Fractional positions:
1 Tb 0.060 0.333 0.392
2 Tb 0.176 0.024 0.163
3 Tb 0.824 0.976 0.837
4 Tb 0.940 0.667 0.608
5 Pr 0.022 0.663 0.943
6 Pr 0.141 0.328 0.736
7 Pr 0.324 0.975 0.834
8 Pr 0.443 0.664 0.610
9 Pr 0.557 0.336 0.390
10 Pr 0.676 0.025 0.166
11 Pr 0.859 0.672 0.264
12 Pr 0.978 0.337 0.057
13 Tm 0.251 0.000 0.498
14 Tm 0.362 0.675 0.260
15 Tm 0.476 0.336 0.055
16 Tm 0.524 0.664 0.945
17 Tm 0.638 0.325 0.740
18 Tm 0.749 0.000 0.502



Starting from a DFT-relaxed cell (PBE, Alexandria), the powder diffraction line list of TlCuPdSe3 was calculated for Cu Kα X-rays.

Most intense lines, 2θ = 10–80°, sorted by position:
- d 4.135, I = 53.2
- d 3.501, I = 28.6
- d 2.866, I = 87.3
- d 2.771, I = 100.0
- d 2.706, I = 80.0
- d 2.583, I = 37.1
- d 2.244, I = 30.5
- d 1.987, I = 34.1
- d 1.968, I = 49.0
- d 1.932, I = 34.6
- d 1.727, I = 36.4
- d 1.573, I = 32.3

Cell and atoms:
a b c (Å): 6.695 6.695 10.824
angles (deg): 90.00 90.00 146.45
Fractional positions:
1 Tl 0.227 0.773 0.750
2 Tl 0.773 0.227 0.250
3 Cu 0.092 0.908 0.250
4 Cu 0.908 0.092 0.750
5 Pd 0.500 0.500 0.000
6 Pd 0.500 0.500 0.500
7 Se 0.127 0.873 0.031
8 Se 0.127 0.873 0.469
9 Se 0.473 0.527 0.250
10 Se 0.527 0.473 0.750
11 Se 0.873 0.127 0.531
12 Se 0.873 0.127 0.969



Starting from a DFT-relaxed cell (PBE, Alexandria), the powder diffraction line list of HfTi2In2 was calculated for Cu Kα X-rays.

Most intense lines, 2θ = 10–80°, sorted by position:
- d 2.769, I = 17.9
- d 2.653, I = 77.1
- d 2.490, I = 100.0
- d 2.353, I = 47.7
- d 2.277, I = 37.9
- d 2.102, I = 73.6
- d 1.621, I = 35.8
- d 1.478, I = 19.8
- d 1.352, I = 13.4
- d 1.297, I = 16.0
- d 1.285, I = 29.0
- d 1.257, I = 12.6

Cell and atoms:
a b c (Å): 11.483 11.483 2.998
angles (deg): 90.00 90.00 165.12
Fractional positions:
1 Hf 0.000 0.000 0.000
2 Ti 0.200 0.800 0.000
3 Ti 0.800 0.200 0.000
4 In 0.397 0.603 0.500
5 In 0.603 0.397 0.500



Starting from a DFT-relaxed cell (PBE, Alexandria), the powder diffraction line list of Y4HS5 was calculated for Cu Kα X-rays.

Most intense lines, 2θ = 10–80°, sorted by position:
- d 6.972, I = 18.4
- d 4.954, I = 81.3
- d 3.679, I = 47.7
- d 3.659, I = 19.8
- d 3.133, I = 100.0
- d 3.016, I = 18.2
- d 2.364, I = 50.4
- d 2.324, I = 29.1
- d 2.148, I = 46.8
- d 1.982, I = 20.1
- d 1.881, I = 17.5
- d 1.852, I = 18.3

Cell and atoms:
a b c (Å): 7.625 7.625 10.233
angles (deg): 108.10 108.10 30.13
Fractional positions:
1 Y 0.006 0.006 0.323
2 Y 0.345 0.345 0.918
3 Y 0.655 0.655 0.082
4 Y 0.994 0.994 0.677
5 H 0.500 0.500 0.000
6 S 0.151 0.151 0.890
7 S 0.162 0.162 0.261
8 S 0.500 0.500 0.500
9 S 0.838 0.838 0.739
10 S 0.849 0.849 0.110



Starting from a DFT-relaxed cell (PBE, Alexandria), the powder diffraction line list of Pa2GeP was calculated for Cu Kα X-rays.

Most intense lines, 2θ = 10–80°, sorted by position:
- d 3.308, I = 72.6
- d 2.911, I = 1.6
- d 2.865, I = 100.0
- d 2.026, I = 74.6
- d 1.728, I = 35.7
- d 1.655, I = 19.6
- d 1.653, I = 6.6
- d 1.432, I = 12.2
- d 1.315, I = 9.5
- d 1.314, I = 5.0
- d 1.281, I = 27.8
- d 1.280, I = 5.7

Cell and atoms:
a b c (Å): 9.061 9.061 7.011
angles (deg): 104.94 104.94 126.87
Fractional positions:
1 Pa 0.058 0.433 0.741
2 Pa 0.172 0.297 0.241
3 Pa 0.297 0.172 0.741
4 Pa 0.433 0.058 0.241
5 Pa 0.567 0.942 0.759
6 Pa 0.703 0.828 0.259
7 Pa 0.828 0.703 0.759
8 Pa 0.942 0.567 0.259
9 Ge 0.315 0.685 0.250
10 Ge 0.440 0.560 0.750
11 Ge 0.560 0.440 0.250
12 Ge 0.685 0.315 0.750
13 P 0.065 0.935 0.250
14 P 0.190 0.810 0.750
15 P 0.810 0.190 0.250
16 P 0.935 0.065 0.750



Starting from a DFT-relaxed cell (PBE, Alexandria), the powder diffraction line list of KP2H was calculated for Cu Kα X-rays.

Most intense lines, 2θ = 10–80°, sorted by position:
- d 2.970, I = 45.3
- d 2.894, I = 21.0
- d 2.577, I = 56.4
- d 2.479, I = 100.0
- d 2.404, I = 50.0
- d 1.685, I = 13.4
- d 1.654, I = 13.0
- d 1.602, I = 11.6
- d 1.578, I = 22.0
- d 1.485, I = 27.3
- d 1.447, I = 12.5
- d 1.240, I = 11.4

Cell and atoms:
a b c (Å): 5.948 5.948 5.948
angles (deg): 121.77 121.77 86.96
Fractional positions:
1 K 0.375 0.625 0.750
2 K 0.625 0.375 0.250
3 P 0.000 0.000 0.000
4 P 0.000 0.000 0.500
5 P 0.000 0.500 0.000
6 P 0.500 0.000 0.500
7 H 0.125 0.875 0.250
8 H 0.875 0.125 0.750



Starting from a DFT-relaxed cell (PBE, Alexandria), the powder diffraction line list of BaHoTe4 was calculated for Cu Kα X-rays.

Most intense lines, 2θ = 10–80°, sorted by position:
- d 8.404, I = 22.5
- d 3.201, I = 89.3
- d 2.929, I = 100.0
- d 2.687, I = 56.0
- d 2.508, I = 14.0
- d 2.471, I = 13.8
- d 2.210, I = 53.1
- d 2.086, I = 23.3
- d 1.744, I = 14.8
- d 1.613, I = 24.8
- d 1.534, I = 25.5
- d 1.523, I = 21.1

Cell and atoms:
a b c (Å): 6.988 6.988 8.404
angles (deg): 90.00 90.00 90.00
Fractional positions:
1 Ba 0.250 0.250 0.000
2 Ba 0.750 0.750 0.000
3 Ho 0.250 0.250 0.500
4 Ho 0.750 0.750 0.500
5 Te 0.098 0.598 0.287
6 Te 0.098 0.902 0.713
7 Te 0.402 0.598 0.713
8 Te 0.402 0.902 0.287
9 Te 0.598 0.098 0.713
10 Te 0.598 0.402 0.287
11 Te 0.902 0.098 0.287
12 Te 0.902 0.402 0.713



Starting from a DFT-relaxed cell (PBE, Alexandria), the powder diffraction line list of Nd4AgHg3 was calculated for Cu Kα X-rays.

Most intense lines, 2θ = 10–80°, sorted by position:
- d 5.090, I = 1.4
- d 3.818, I = 0.8
- d 2.697, I = 100.0
- d 1.913, I = 6.2
- d 1.905, I = 12.1
- d 1.560, I = 12.7
- d 1.556, I = 25.3
- d 1.350, I = 7.9
- d 1.347, I = 4.0
- d 1.209, I = 5.6
- d 1.205, I = 5.5
- d 1.204, I = 5.5

Cell and atoms:
a b c (Å): 8.521 8.514 5.400
angles (deg): 71.58 71.45 36.96
Fractional positions:
1 Nd 0.124 0.124 0.376
2 Nd 0.376 0.376 0.124
3 Nd 0.624 0.624 0.876
4 Nd 0.876 0.876 0.624
5 Ag 0.000 0.000 0.000
6 Hg 0.251 0.251 0.749
7 Hg 0.500 0.500 0.500
8 Hg 0.749 0.749 0.251



Starting from a DFT-relaxed cell (PBE, Alexandria), the powder diffraction line list of CuSb3P6O24 was calculated for Cu Kα X-rays.

Most intense lines, 2θ = 10–80°, sorted by position:
- d 6.088, I = 54.4
- d 4.438, I = 100.0
- d 4.183, I = 64.8
- d 3.651, I = 47.6
- d 3.044, I = 59.5
- d 2.789, I = 59.3
- d 2.461, I = 28.5
- d 2.415, I = 24.5
- d 1.892, I = 16.7
- d 1.826, I = 17.3
- d 1.737, I = 24.6
- d 1.581, I = 17.1

Cell and atoms:
a b c (Å): 8.909 8.909 8.909
angles (deg): 56.00 56.00 56.00
Fractional positions:
1 Cu 0.000 0.000 0.000
2 Sb 0.299 0.299 0.299
3 Sb 0.506 0.506 0.506
4 Sb 0.792 0.792 0.792
5 P 0.110 0.690 0.394
6 P 0.186 0.620 0.899
7 P 0.394 0.110 0.690
8 P 0.620 0.899 0.186
9 P 0.690 0.394 0.110
10 P 0.899 0.186 0.620
11 O 0.030 0.632 0.859
12 O 0.110 0.165 0.468
13 O 0.125 0.487 0.436
14 O 0.142 0.827 0.187
15 O 0.165 0.468 0.110
16 O 0.174 0.814 0.862
17 O 0.187 0.142 0.827
18 O 0.259 0.659 0.460
19 O 0.390 0.528 0.762
20 O 0.436 0.125 0.487
21 O 0.460 0.259 0.659
22 O 0.468 0.110 0.165
23 O 0.487 0.436 0.125
24 O 0.528 0.762 0.390
25 O 0.538 0.906 0.768
26 O 0.632 0.859 0.030
27 O 0.659 0.460 0.259
28 O 0.762 0.390 0.528
29 O 0.768 0.538 0.906
30 O 0.814 0.862 0.174
31 O 0.827 0.187 0.142
32 O 0.859 0.030 0.632
33 O 0.862 0.174 0.814
34 O 0.906 0.768 0.538